Diffraction record for Pm3Dy4Y5. The PXRD pattern is simulated, not measured: it uses a DFT-relaxed cell (PBE, Alexandria) and Cu Kα.

Principal peaks in the range 15 to 90 degrees two-theta, by angle:
2θ (°)	I (rel.)	hkl
30.59	100	2 0 1
35.43	34	2 0 -2
35.52	17	1 2 2
50.99	24	0 4 0
51.10	12	3 2 0
60.61	18	3 -2 3
60.68	18	1 2 5
63.71	9	4 0 2

Cell and atoms:
abc: 6.1987 7.1627 8.7677
angles: 90.04 90.11 90.19
Space group P-1 (No. 2)
Inequivalent atoms, fractional coordinates:
Pm1 0.0000 0.0000 0.0000 [1 per cell]
Pm2 0.1658 0.7482 0.6664 [2 per cell]
Dy1 0.1673 0.2512 0.6668 [2 per cell]
Dy2 0.3338 0.5004 0.3345 [2 per cell]
Y1 0.0000 0.5000 0.0000 [1 per cell]
Y2 0.3330 0.0002 0.3336 [2 per cell]
Y3 0.4990 0.2508 0.9999 [2 per cell]